Entry 1:
Structure and theoretical XRD peak list of Mg14CdFeO16 (a GGA+U-relaxed structure; Cu Kα (λ = 1.5418 Å)).
Intensities are scaled so that the largest is 100.

Most intense lines, 2θ = 10–90°, most intense first:
2θ 41.83, rel. 100; 2θ 60.78, rel. 57; 2θ 42.01, rel. 49; 2θ 36.07, rel. 36; 2θ 10.25, rel. 35; 2θ 60.64, rel. 29; 2θ 76.51, rel. 26; 2θ 23.05, rel. 26; 2θ 29.28, rel. 20; 2θ 31.10, rel. 18

Atomic structure:
```
Mg14CdFeO16
1.0
4.323 0.000 0.000
0.000 8.603 0.000
0.000 0.000 8.631
Mg Cd Fe O
14 1 1 16
Cartesian
0.000 0.000 0.000
0.000 2.127 2.123
0.000 2.127 6.508
0.000 4.301 0.000
0.000 6.475 2.123
0.000 6.475 6.508
2.162 0.000 2.156
2.162 0.000 6.475
2.162 2.107 4.316
2.162 2.140 0.000
2.162 4.301 2.111
2.162 4.301 6.520
2.162 6.462 0.000
2.162 6.496 4.316
0.000 4.301 4.316
0.000 0.000 4.316
0.000 0.000 2.081
0.000 0.000 6.550
0.000 2.035 4.316
0.000 2.139 0.000
0.000 4.301 2.027
0.000 4.301 6.604
0.000 6.463 0.000
0.000 6.568 4.316
2.162 0.000 0.000
2.162 0.000 4.316
2.162 2.156 2.170
2.162 2.156 6.461
2.162 4.301 0.000
2.162 4.301 4.316
2.162 6.447 2.170
2.162 6.447 6.461
```


Entry 2:
Structure and theoretical XRD peak list of CoH10Se2O10 (a GGA+U-relaxed structure; Cu Kα (λ = 1.5418 Å)).
Intensities are scaled so that the largest is 100.

Most intense lines, 2θ = 10–90°, most intense first:
2θ 12.74, rel. 100; 2θ 26.70, rel. 79; 2θ 20.21, rel. 40; 2θ 34.96, rel. 37; 2θ 24.26, rel. 36; 2θ 31.04, rel. 33; 2θ 43.35, rel. 32; 2θ 25.64, rel. 26; 2θ 31.77, rel. 19; 2θ 33.73, rel. 14

Atomic structure:
```
CoH10Se2O10
1.0
6.709 -4.394 0.000
6.709 4.394 0.000
-5.744 0.000 9.112
Co H Se O
2 20 4 20
Cartesian
2.401 3.735 6.834
5.273 -3.735 2.278
0.936 0.092 4.271
-1.936 -0.092 8.827
2.754 -0.001 1.861
-0.118 0.001 6.418
5.510 1.276 0.769
2.425 0.396 3.747
2.271 1.020 6.039
-0.447 -0.396 8.303
5.036 1.276 3.787
2.530 1.020 7.629
5.143 -1.020 1.483
2.638 -1.276 5.325
8.121 0.396 0.809
5.402 -1.020 3.073
5.249 -0.396 5.365
2.164 -1.276 8.343
7.791 -0.001 2.695
4.919 0.001 7.251
9.610 0.092 0.285
6.738 -0.092 4.841
-1.333 0.575 5.677
1.539 -0.575 1.121
6.135 0.575 7.991
9.007 -0.575 3.435
0.469 0.736 1.444
-0.604 0.286 4.118
-3.476 -0.286 8.674
-2.403 -0.736 6.000
5.273 2.484 2.278
4.416 1.651 3.087
2.401 1.591 6.834
6.130 1.651 1.469
1.931 0.017 4.500
-0.941 -0.017 9.056
8.615 0.017 0.056
5.743 -0.017 4.612
1.544 -1.651 7.644
5.273 -1.591 2.278
3.258 -1.651 6.025
2.401 -2.484 6.834
10.077 0.736 3.112
11.150 0.286 0.439
8.278 -0.286 4.995
7.205 -0.736 7.668
```


Entry 3:
Structure and theoretical XRD peak list of RbErMo2O8 (a GGA+U-relaxed structure; Cu Kα (λ = 1.5418 Å)).
Intensities are scaled so that the largest is 100.

Most intense lines, 2θ = 10–90°, most intense first:
2θ 27.82, rel. 100; 2θ 28.81, rel. 66; 2θ 30.60, rel. 31; 2θ 14.29, rel. 21; 2θ 46.66, rel. 16; 2θ 47.22, rel. 15; 2θ 53.89, rel. 14; 2θ 33.36, rel. 11; 2θ 34.35, rel. 11; 2θ 51.46, rel. 10

Atomic structure:
```
RbErMo2O8
1.0
5.379 -5.221 0.000
5.379 5.221 0.000
-5.060 0.000 5.842
Rb Er Mo O
2 2 4 16
Cartesian
1.584 3.141 4.382
4.114 -3.141 1.461
4.114 2.831 1.461
1.584 -2.831 4.382
1.940 -0.003 1.534
-0.590 0.003 4.455
6.289 -0.003 1.387
3.759 0.003 4.308
-2.143 0.844 4.038
1.791 1.655 0.721
0.387 -0.844 1.117
0.497 0.789 3.275
4.968 1.147 0.181
-0.739 -1.655 3.642
3.027 -0.789 0.354
3.261 1.147 2.740
2.438 -1.147 3.102
2.672 0.789 5.489
6.438 1.655 2.201
0.731 -1.147 5.662
5.202 -0.789 2.568
5.312 0.844 4.725
3.908 -1.655 5.122
7.842 -0.844 1.804
```


Entry 4:
Structure and theoretical XRD peak list of MgMnCo3O8 (a GGA+U-relaxed structure; Cu Kα (λ = 1.5418 Å)).
Intensities are scaled so that the largest is 100.

Most intense lines, 2θ = 10–90°, most intense first:
2θ 17.91, rel. 100; 2θ 41.89, rel. 23; 2θ 44.15, rel. 20; 2θ 44.62, rel. 19; 2θ 35.15, rel. 12; 2θ 36.60, rel. 10; 2θ 37.29, rel. 9; 2θ 36.27, rel. 6; 2θ 62.72, rel. 6; 2θ 64.19, rel. 6

Atomic structure:
```
MgMnCo3O8
1.0
5.644 0.000 0.000
-2.700 5.151 0.000
-0.055 -3.234 4.953
Mg Mn Co O
1 1 3 8
Cartesian
0.000 0.000 0.000
2.795 -1.617 2.477
-0.027 -1.617 2.477
-1.377 0.959 2.477
1.445 0.959 2.477
-0.021 0.047 3.404
-1.371 2.611 3.485
0.037 1.591 1.400
1.335 -0.879 1.429
1.554 2.797 3.524
2.853 0.326 3.554
4.261 -0.693 1.468
2.910 1.870 1.549
```


Entry 5:
Structure and theoretical XRD peak list of Nb3VP6O24 (a GGA+U-relaxed structure; Cu Kα (λ = 1.5418 Å)).
Intensities are scaled so that the largest is 100.

Most intense lines, 2θ = 10–90°, most intense first:
2θ 19.77, rel. 100; 2θ 23.52, rel. 88; 2θ 28.40, rel. 66; 2θ 20.19, rel. 63; 2θ 14.09, rel. 52; 2θ 31.57, rel. 43; 2θ 35.10, rel. 26; 2θ 51.96, rel. 26; 2θ 35.35, rel. 25; 2θ 55.26, rel. 21

Atomic structure:
```
Nb3VP6O24
1.0
4.398 2.539 7.414
-4.398 2.539 7.414
0.000 -5.078 7.414
Nb V P O
3 1 6 24
Cartesian
0.000 0.000 0.000
0.000 0.000 4.845
0.000 0.000 15.980
0.000 0.000 11.136
-3.095 0.374 9.840
-1.241 -2.139 13.505
1.224 -2.868 9.840
-1.232 2.145 13.505
1.871 2.494 9.840
2.473 -0.006 13.505
-0.992 -1.301 5.962
-3.445 1.224 8.588
-3.766 1.039 11.074
-2.771 -2.342 13.720
0.662 -3.596 8.588
-1.607 0.215 9.964
-0.631 1.510 5.962
-1.010 -1.322 12.263
0.983 -3.781 11.074
0.617 -1.499 9.964
1.623 -0.209 5.962
-0.647 -1.500 14.785
-1.624 -0.227 17.076
-0.640 1.536 12.263
-0.976 1.311 14.785
0.990 1.284 9.964
1.650 -0.214 12.263
-0.643 3.571 13.720
1.009 -1.292 17.076
2.783 2.371 8.588
1.623 0.190 14.785
3.414 -1.229 13.720
0.615 1.520 17.076
2.783 2.741 11.074
```


Entry 6:
Structure and theoretical XRD peak list of BaSr4Fe5O10 (a GGA+U-relaxed structure; Cu Kα (λ = 1.5418 Å)).
Intensities are scaled so that the largest is 100.

Most intense lines, 2θ = 10–90°, most intense first:
2θ 33.44, rel. 100; 2θ 56.78, rel. 42; 2θ 31.05, rel. 38; 2θ 44.48, rel. 32; 2θ 70.26, rel. 14; 2θ 40.29, rel. 12; 2θ 61.25, rel. 11; 2θ 64.73, rel. 10; 2θ 51.37, rel. 9; 2θ 74.85, rel. 9

Atomic structure:
```
BaSr4Fe5O10
1.0
4.073 0.000 0.000
0.000 4.073 0.000
0.000 0.000 17.787
Ba Sr Fe O
1 4 5 10
Cartesian
0.000 0.000 0.000
0.000 0.000 3.647
0.000 0.000 7.134
0.000 0.000 10.654
0.000 0.000 14.140
2.037 2.037 1.952
2.037 2.037 5.383
2.037 2.037 8.894
2.037 2.037 12.404
2.037 2.037 15.835
0.000 2.037 1.947
0.000 2.037 5.399
0.000 2.037 8.894
0.000 2.037 12.388
0.000 2.037 15.840
2.037 0.000 1.947
2.037 0.000 5.399
2.037 0.000 8.894
2.037 0.000 12.388
2.037 0.000 15.840
```


Entry 7:
Structure and theoretical XRD peak list of LiCo2CuO6 (a GGA+U-relaxed structure; Cu Kα (λ = 1.5418 Å)).
Intensities are scaled so that the largest is 100.

Most intense lines, 2θ = 10–90°, most intense first:
2θ 18.46, rel. 100; 2θ 44.33, rel. 33; 2θ 36.85, rel. 23; 2θ 44.21, rel. 16; 2θ 58.19, rel. 14; 2θ 36.47, rel. 12; 2θ 64.75, rel. 9; 2θ 64.05, rel. 8; 2θ 38.53, rel. 7; 2θ 48.59, rel. 6

Atomic structure:
```
LiCo2CuO6
1.0
6.340 -1.422 0.000
6.340 1.422 0.000
-1.441 0.000 5.695
Li Co Cu O
1 2 1 6
Cartesian
0.000 0.000 0.000
3.899 0.000 0.982
7.339 0.000 4.713
-0.720 0.000 2.848
1.193 0.000 3.530
2.148 0.000 0.265
5.709 0.000 1.454
5.529 0.000 4.241
9.091 0.000 5.431
10.045 0.000 2.166
```


Entry 8:
Structure and theoretical XRD peak list of RbLiVP2O8 (a GGA+U-relaxed structure; Cu Kα (λ = 1.5418 Å)).
Intensities are scaled so that the largest is 100.

Most intense lines, 2θ = 10–90°, most intense first:
2θ 27.06, rel. 100; 2θ 25.66, rel. 56; 2θ 24.10, rel. 53; 2θ 28.88, rel. 34; 2θ 27.41, rel. 34; 2θ 27.71, rel. 33; 2θ 30.20, rel. 30; 2θ 42.55, rel. 25; 2θ 22.51, rel. 23; 2θ 20.57, rel. 22

Atomic structure:
```
RbLiVP2O8
1.0
4.939 0.000 0.000
0.000 9.028 0.000
-1.520 0.000 16.297
Rb Li V P O
4 4 4 8 32
Cartesian
-0.145 1.228 6.684
-0.905 3.286 14.833
4.324 5.742 1.464
3.564 7.800 9.612
0.424 4.647 8.431
1.184 8.896 0.283
2.235 0.133 16.014
2.995 4.381 7.866
0.216 0.625 2.745
-0.543 3.889 10.894
3.962 5.139 5.403
3.203 8.403 13.551
0.646 1.037 12.064
1.406 3.477 3.916
0.708 6.520 14.762
1.468 7.023 6.613
1.951 2.006 9.683
2.711 2.508 1.535
2.013 5.551 12.381
2.773 7.991 4.233
-1.164 0.291 14.885
-0.404 4.223 6.736
-0.561 0.092 12.118
0.199 4.422 3.970
0.333 6.602 5.690
-0.427 6.940 13.838
1.040 1.987 4.043
0.280 2.527 12.191
1.642 1.394 1.329
0.882 3.120 9.477
0.274 5.939 16.083
1.033 7.603 7.935
0.918 5.199 11.388
1.678 8.343 3.240
1.182 0.817 10.533
1.941 3.697 2.385
1.478 5.331 13.912
2.237 8.211 5.764
1.741 0.685 13.057
2.501 3.829 4.908
2.386 1.425 8.362
3.146 3.089 0.214
2.537 5.908 6.819
1.777 7.634 14.968
3.139 6.501 4.105
2.379 7.041 12.254
3.846 2.088 2.459
3.086 2.426 10.607
3.220 4.606 12.327
3.980 8.936 4.178
3.823 4.805 9.560
4.583 8.737 1.412
```


Entry 9:
Structure and theoretical XRD peak list of ZnFe2O4 (a GGA+U-relaxed structure; Cu Kα (λ = 1.5418 Å)).
Intensities are scaled so that the largest is 100.

Most intense lines, 2θ = 10–90°, most intense first:
2θ 17.36, rel. 100; 2θ 35.99, rel. 72; 2θ 35.76, rel. 64; 2θ 35.14, rel. 64; 2θ 64.84, rel. 62; 2θ 51.41, rel. 61; 2θ 50.94, rel. 59; 2θ 25.08, rel. 57; 2θ 25.30, rel. 53; 2θ 40.35, rel. 53

Atomic structure:
```
ZnFe2O4
1.0
4.977 0.000 0.000
0.000 5.769 0.000
-0.173 0.000 10.216
Zn Fe O
4 8 16
Cartesian
0.082 0.000 2.540
1.620 0.019 7.637
3.184 2.903 2.579
4.722 2.885 7.676
-0.028 2.886 5.007
0.057 2.899 0.165
2.484 4.328 0.013
2.402 1.449 5.108
2.402 4.334 5.108
2.320 1.443 10.202
4.747 0.014 10.050
4.832 0.002 5.209
0.669 4.309 9.085
0.734 1.433 6.208
0.744 4.350 6.216
0.731 1.466 8.993
1.450 0.016 4.118
1.535 5.757 0.953
1.685 2.876 4.046
1.764 2.900 1.044
3.040 0.015 9.172
3.119 5.761 6.170
3.269 2.872 9.262
3.354 2.900 6.097
4.074 4.350 1.222
4.060 1.465 3.999
4.070 4.318 4.008
4.135 1.424 1.130
```